(1)
For TbCeCd14, DFT lattice parameters and positions (GGA-PBE) gives the theoretical powder diffractogram in this record (copper Kα).
Neutral-atom scattering factors, no anomalous dispersion.

Top 10 peaks for 15° ≤ 2θ ≤ 90°, low angle first:
2theta, intensity
28.8, 1
34.3, 100
38.1, 38
43.0, 13
55.0, 12
58.8, 20
66.5, 27
72.2, 10
73.2, 10
81.6, 4

Cell and atoms:
Lattice parameters (Å, degrees): 6.6755 6.6755 8.4201 90.00 90.00 90.00
Fractional positions:
Tb  0.0000  0.0000  0.0000
Ce  0.5000  0.5000  0.0000
Cd  0.0000  0.0000  0.5000
Cd  0.0000  0.5000  0.0000
Cd  0.0000  0.5000  0.5000
Cd  0.2472  0.2472  0.2610
Cd  0.2472  0.2472  0.7390
Cd  0.2472  0.7528  0.2610
Cd  0.2472  0.7528  0.7390
Cd  0.5000  0.0000  0.0000
Cd  0.5000  0.0000  0.5000
Cd  0.5000  0.5000  0.5000
Cd  0.7528  0.2472  0.2610
Cd  0.7528  0.2472  0.7390
Cd  0.7528  0.7528  0.2610
Cd  0.7528  0.7528  0.7390

=====

(2)
For Tb2CeCd6, DFT lattice parameters and positions (GGA-PBE) gives the theoretical powder diffractogram in this record (copper Kα).
Neutral-atom scattering factors, no anomalous dispersion.

Top 10 peaks for 15° ≤ 2θ ≤ 90°, low angle first:
2theta, intensity
33.6, 100
35.7, 87
49.8, 32
54.4, 8
62.7, 32
64.1, 15
66.8, 27
75.5, 9
85.2, 14
88.9, 13

Cell and atoms:
Lattice parameters (Å, degrees): 8.7225 8.7225 3.3729 90.00 90.00 120.00
Fractional positions:
Tb  0.3333  0.6667  0.0000
Tb  0.6667  0.3333  0.0000
Ce  0.0000  0.0000  0.0000
Cd  0.0000  0.3356  0.5000
Cd  0.0000  0.6644  0.5000
Cd  0.3356  0.0000  0.5000
Cd  0.3356  0.3356  0.5000
Cd  0.6644  0.0000  0.5000
Cd  0.6644  0.6644  0.5000

=====

(3)
For Ce4CdTc, DFT lattice parameters and positions (GGA-PBE) gives the theoretical powder diffractogram in this record (copper Kα).
Neutral-atom scattering factors, no anomalous dispersion.

Top 10 peaks for 15° ≤ 2θ ≤ 90°, low angle first:
2theta, intensity
29.5, 18
30.5, 42
33.9, 72
34.2, 100
34.6, 18
41.4, 38
56.4, 17
56.6, 23
62.0, 16
64.8, 31

Cell and atoms:
Lattice parameters (Å, degrees): 8.7590 8.7590 8.7590 140.88 131.00 64.41
Fractional positions:
Ce  0.1374  0.3784  0.7589
Ce  0.1918  0.1918  0.0000
Ce  0.3055  0.0000  0.3055
Ce  0.3805  0.6216  0.7589
Ce  0.6195  0.3784  0.2411
Ce  0.6945  0.0000  0.6945
Ce  0.8082  0.8082  0.0000
Ce  0.8626  0.6216  0.2411
Cd  0.3038  0.8038  0.5000
Cd  0.6962  0.1962  0.5000
Tc  0.0000  0.2512  0.2512
Tc  0.0000  0.7488  0.7488

=====

(4)
For CeThCd17, DFT lattice parameters and positions (GGA-PBE) gives the theoretical powder diffractogram in this record (copper Kα).
Neutral-atom scattering factors, no anomalous dispersion.

Top 10 peaks for 15° ≤ 2θ ≤ 90°, low angle first:
2theta, intensity
30.7, 36
31.5, 21
35.6, 44
35.7, 100
36.0, 29
36.3, 11
36.4, 24
40.0, 35
63.9, 15
64.5, 20

Cell and atoms:
Lattice parameters (Å, degrees): 7.6712 7.6712 7.6712 82.28 82.28 82.28
Fractional positions:
Ce  0.0000  0.0000  0.0000
Th  0.6652  0.6652  0.6652
Cd  0.0328  0.3360  0.6349
Cd  0.0328  0.6349  0.3360
Cd  0.2025  0.6825  0.6825
Cd  0.2403  0.2403  0.2403
Cd  0.3174  0.3174  0.8545
Cd  0.3174  0.8545  0.3174
Cd  0.3360  0.0328  0.6349
Cd  0.3360  0.6349  0.0328
Cd  0.4388  0.4388  0.4388
Cd  0.5300  0.9646  0.9646
Cd  0.6349  0.0328  0.3360
Cd  0.6349  0.3360  0.0328
Cd  0.6825  0.2025  0.6825
Cd  0.6825  0.6825  0.2025
Cd  0.8545  0.3174  0.3174
Cd  0.9646  0.5300  0.9646
Cd  0.9646  0.9646  0.5300

=====

(5)
For CeTlCd2, DFT lattice parameters and positions (GGA-PBE) gives the theoretical powder diffractogram in this record (copper Kα).
Neutral-atom scattering factors, no anomalous dispersion.

Top 10 peaks for 15° ≤ 2θ ≤ 90°, low angle first:
2theta, intensity
20.7, 5
23.9, 1
34.1, 100
40.2, 3
49.0, 18
53.7, 1
61.1, 37
71.8, 11
81.9, 11
82.1, 5

Cell and atoms:
Lattice parameters (Å, degrees): 5.2559 5.2559 5.2559 119.94 119.94 90.11
Fractional positions:
Ce  0.0000  0.0000  0.0000
Tl  0.7500  0.2500  0.5000
Cd  0.2500  0.7500  0.5000
Cd  0.5000  0.5000  0.0000

=====

(6)
For CeTlCd11, DFT lattice parameters and positions (GGA-PBE) gives the theoretical powder diffractogram in this record (copper Kα).
Neutral-atom scattering factors, no anomalous dispersion.

Top 10 peaks for 15° ≤ 2θ ≤ 90°, low angle first:
2theta, intensity
30.5, 35
34.3, 64
34.5, 52
35.3, 100
35.6, 78
38.9, 63
39.1, 28
39.9, 35
40.1, 28
63.1, 21

Cell and atoms:
Lattice parameters (Å, degrees): 7.7626 7.7626 7.7158 98.77 98.77 133.80
Fractional positions:
Ce  0.0000  0.0000  0.0000
Tl  0.0000  0.0000  0.5000
Cd  0.0000  0.5000  0.0000
Cd  0.0052  0.3638  0.3497
Cd  0.3019  0.5147  0.7920
Cd  0.3638  0.0052  0.3497
Cd  0.4853  0.6981  0.2080
Cd  0.5000  0.0000  0.0000
Cd  0.5000  0.5000  0.5000
Cd  0.5147  0.3019  0.7920
Cd  0.6362  0.9948  0.6503
Cd  0.6981  0.4853  0.2080
Cd  0.9948  0.6362  0.6503